Diffraction record for Rb2FeSe2O6. The PXRD pattern is computed, not measured: it uses a crystal structure in Alexandria, relaxed with PBE+U and Cu Kα (λ = 1.5418 Å).
Peak positions follow from Bragg's law for the DFT cell and can differ from measured ones.

The 8 most intense peaks (2θ = 15–90°), in order of rising 2θ:
28.0 deg, I 44.0
28.7 deg, I 100.0
30.0 deg, I 41.5
32.2 deg, I 71.3
41.5 deg, I 30.0
52.5 deg, I 15.1
54.5 deg, I 17.5
54.7 deg, I 16.2

Atomic structure:
```
Rb2FeSe2O6
1.0
4.7211 -2.9747 0.0000
4.7211 2.9747 0.0000
-2.6822 0.0000 6.7709
Rb Fe Se O
2 1 2 6
Direct
0.2033 0.2033 0.1452
0.7967 0.7967 0.8548
0.0000 0.0000 0.5000
0.4066 0.4066 0.7468
0.5934 0.5934 0.2532
0.2393 0.2393 0.5467
0.2558 0.7195 0.2752
0.2805 0.7442 0.7248
0.7195 0.2558 0.2752
0.7442 0.2805 0.7248
0.7607 0.7607 0.4533
```